1.
For Ag2S, a crystal structure in the Materials Project, relaxed with PBE gives the simulated X-ray diffraction stick pattern in this record (Cu Kα, 1.54184 Å).
Neutral-atom scattering factors, no anomalous dispersion.

Principal peaks in the range 2θ = 10–80°, in order of falling intensity:
two_theta	I (rel.)
34.6	100
28.3	60
44.5	44
36.9	40
47.1	28
46.1	23
74.9	18
65.0	15
59.6	13
25.8	13
71.8	10
73.0	10

Crystal structure
Cell lengths 4.316, 4.316, 6.778 Å; angles 90.00, 90.00, 111.29 degrees
Sites, in units of the cell vectors:
Ag (0.158, 0.842, 0.864)
Ag (0.342, 0.658, 0.364)
Ag (0.658, 0.342, 0.636)
Ag (0.842, 0.158, 0.136)
S (0.000, 0.000, 0.500)
S (0.500, 0.500, 0.000)


2.
For Ba3GeO5, a crystal structure in the Materials Project, relaxed with PBE gives the simulated X-ray diffraction stick pattern in this record (Cu Kα, 1.54184 Å).
Neutral-atom scattering factors, no anomalous dispersion.

Principal peaks in the range 2θ = 10–80°, in order of falling intensity:
two_theta	I (rel.)
28.2	100
35.2	38
27.7	32
30.3	28
33.9	27
46.1	23
52.5	19
50.9	16
38.0	13
55.8	12
47.1	9
64.8	8

Crystal structure
Cell lengths 7.487, 7.487, 11.812 Å; angles 90.00, 90.00, 90.00 degrees
Sites, in units of the cell vectors:
Ba (0.063, 0.563, 0.250)
Ba (0.063, 0.937, 0.750)
Ba (0.250, 0.250, 0.003)
Ba (0.250, 0.250, 0.503)
Ba (0.437, 0.563, 0.750)
Ba (0.437, 0.937, 0.250)
Ba (0.563, 0.063, 0.750)
Ba (0.563, 0.437, 0.250)
Ba (0.750, 0.750, 0.497)
Ba (0.750, 0.750, 0.997)
Ba (0.937, 0.063, 0.250)
Ba (0.937, 0.437, 0.750)
Ge (0.250, 0.750, 0.000)
Ge (0.250, 0.750, 0.500)
Ge (0.750, 0.250, 0.000)
Ge (0.750, 0.250, 0.500)
O (0.093, 0.646, 0.907)
O (0.093, 0.854, 0.407)
O (0.146, 0.593, 0.593)
O (0.146, 0.907, 0.093)
O (0.250, 0.250, 0.280)
O (0.250, 0.250, 0.780)
O (0.354, 0.593, 0.093)
O (0.354, 0.907, 0.593)
O (0.407, 0.646, 0.407)
O (0.407, 0.854, 0.907)
O (0.593, 0.146, 0.093)
O (0.593, 0.354, 0.593)
O (0.646, 0.093, 0.407)
O (0.646, 0.407, 0.907)
O (0.750, 0.750, 0.220)
O (0.750, 0.750, 0.720)
O (0.854, 0.093, 0.907)
O (0.854, 0.407, 0.407)
O (0.907, 0.146, 0.593)
O (0.907, 0.354, 0.093)


Q: Which formula does entry 1 have?
A: Ag2S